Starting from a DFT-relaxed cell (GGA-PBE, the Materials Project), the PXRD pattern of RbYBeF6 was calculated for a wavelength of 1.5418 Å.

Main lines, by angle (15° ≤ 2θ ≤ 90°):
2θ 21.07, rel. 31, hkl 1 1 0; 2θ 21.55, rel. 31, hkl 1 1 -1; 2θ 27.21, rel. 39, hkl 2 0 -1; 2θ 28.07, rel. 100, hkl 1 1 1; 2θ 29.15, rel. 70, hkl 1 1 -2; 2θ 30.23, rel. 26, hkl 0 2 0; 2θ 40.85, rel. 38, hkl 0 2 2; 2θ 41.12, rel. 26, hkl 2 2 -1; 2θ 42.90, rel. 20, hkl 2 2 0; 2θ 48.86, rel. 19, hkl 2 2 1

Structural model:
Cell: 6.565 5.913 7.259 Å, 90.00 113.67 90.00°
Space group P2_1/m (No. 11)
One atom of each set of equivalent atoms:
Rb 0.079 0.250 0.212 [2 per cell]
Y 0.391 0.250 0.820 [2 per cell]
Be 0.233 0.750 0.464 [2 per cell]
F 0.006 0.750 0.272 [2 per cell]
F 0.241 0.536 0.595 [4 per cell]
F 0.324 0.501 0.031 [4 per cell]
F 0.431 0.750 0.399 [2 per cell]